# 1
Starting from a DFT-relaxed cell (GGA-PBE, Alexandria), the X-ray powder pattern of In2Ag7 was computed for Cu Kα (λ = 1.5418 Å).
No peak broadening, texture or thermal motion is included.

Top 6 peaks for 2θ = 15–90°, low angle first:
2θ/deg, I (rel.)
32.02, 24
37.21, 26
37.48, 100
38.52, 21
41.01, 57
66.96, 23

Crystal structure
Lattice parameters (Å, degrees): 14.391 14.391 14.391 22.40 22.40 22.40
Positions (direct):
In 0.041 0.041 0.041
In 0.149 0.149 0.149
In 0.851 0.851 0.851
In 0.959 0.959 0.959
Ag 0.000 0.500 0.500
Ag 0.109 0.615 0.615
Ag 0.277 0.277 0.277
Ag 0.385 0.385 0.891
Ag 0.385 0.891 0.385
Ag 0.390 0.390 0.390
Ag 0.500 0.000 0.500
Ag 0.500 0.500 0.000
Ag 0.500 0.500 0.500
Ag 0.610 0.610 0.610
Ag 0.615 0.109 0.615
Ag 0.615 0.615 0.109
Ag 0.723 0.723 0.723
Ag 0.891 0.385 0.385


# 2
Starting from a DFT-relaxed cell (GGA-PBE, Alexandria), the X-ray powder pattern of In6Ag7 was computed for Cu Kα (λ = 1.5418 Å).
No peak broadening, texture or thermal motion is included.

Top 6 peaks for 2θ = 15–90°, low angle first:
2θ/deg, I (rel.)
30.69, 37
35.73, 33
36.15, 100
37.81, 31
39.02, 57
42.11, 31

Crystal structure
Lattice parameters (Å, degrees): 10.097 10.097 10.097 33.54 33.54 33.54
Positions (direct):
In 0.050 0.050 0.050
In 0.158 0.158 0.158
In 0.333 0.333 0.333
In 0.667 0.667 0.667
In 0.842 0.842 0.842
In 0.950 0.950 0.950
Ag 0.085 0.586 0.586
Ag 0.414 0.414 0.915
Ag 0.414 0.915 0.414
Ag 0.500 0.500 0.500
Ag 0.586 0.085 0.586
Ag 0.586 0.586 0.085
Ag 0.915 0.414 0.414


# 3
Starting from a DFT-relaxed cell (GGA-PBE, Alexandria), the X-ray powder pattern of In2Ag13 was computed for Cu Kα (λ = 1.5418 Å).
No peak broadening, texture or thermal motion is included.

Top 6 peaks for 2θ = 15–90°, low angle first:
2θ/deg, I (rel.)
37.00, 100
37.09, 50
37.27, 49
42.73, 33
43.01, 32
43.53, 31

Crystal structure
Lattice parameters (Å, degrees): 5.097 7.283 7.901 107.65 96.35 90.54
Positions (direct):
In 0.070 0.141 0.394
In 0.930 0.859 0.606
Ag 0.000 0.000 0.000
Ag 0.136 0.268 0.802
Ag 0.201 0.404 0.195
Ag 0.270 0.533 0.602
Ag 0.334 0.666 0.000
Ag 0.397 0.798 0.399
Ag 0.467 0.935 0.804
Ag 0.533 0.065 0.196
Ag 0.603 0.202 0.601
Ag 0.666 0.334 0.000
Ag 0.730 0.467 0.398
Ag 0.799 0.596 0.805
Ag 0.864 0.732 0.198